For Ca2PuReN4, a GGA-PBE-relaxed structure gives the calculated powder diffractogram in this record (Cu Kα (weighted mean of Kα1 and Kα2)).

Atomic structure:
```
data_Ca2PuReN4
_chemical_formula_sum 'Ca8 Pu4 Re4 N16'
_symmetry_space_group_name_H-M 'C m c m'
_symmetry_Int_Tables_number 63
_symmetry_space_group_name_Hall '-C 2c 2'
_cell_length_a 3.3380
_cell_length_b 11.8013
_cell_length_c 12.2231
_cell_angle_alpha 90.00
_cell_angle_beta 90.00
_cell_angle_gamma 90.00
loop_
_atom_site_label
_atom_site_fract_x
_atom_site_fract_y
_atom_site_fract_z
Ca1 0.0000 0.1268 0.0343
Pu1 0.0000 0.4173 0.2500
Re1 0.0000 0.3250 0.7500
N1 0.0000 0.0687 0.2500
N2 0.0000 0.2288 0.6334
N3 0.0000 0.5000 0.0000
```

Largest 12 diffraction maxima, low angle first, 10° ≤ 2θ ≤ 80°:
hkl 0 0 2, 14.49°, 6.112 Å, intensity 100; hkl 1 1 0, 27.77°, 3.212 Å, intensity 19; hkl 0 0 4, 29.23°, 3.056 Å, intensity 38; hkl 0 4 1, 31.19°, 2.868 Å, intensity 36; hkl 1 1 2, 31.46°, 2.843 Å, intensity 55; hkl 1 3 1, 36.05°, 2.492 Å, intensity 37; hkl 0 4 3, 37.64°, 2.390 Å, intensity 24; hkl 1 3 2, 38.31°, 2.350 Å, intensity 21; hkl 1 1 4, 40.76°, 2.214 Å, intensity 18; hkl 1 3 3, 41.85°, 2.159 Å, intensity 14; hkl 1 3 5, 51.86°, 1.763 Å, intensity 13; hkl 1 5 3, 52.53°, 1.742 Å, intensity 13

For Ga2HgPb2, a GGA-PBE-relaxed structure gives the calculated powder diffractogram in this record (Cu Kα (weighted mean of Kα1 and Kα2)).

Atomic structure:
```
data_Ga2HgPb2
_chemical_formula_sum 'Ga4 Hg2 Pb4'
_symmetry_space_group_name_H-M 'I 4/m m m'
_symmetry_Int_Tables_number 139
_symmetry_space_group_name_Hall '-I 4 2'
_cell_length_a 4.9451
_cell_length_b 4.9451
_cell_length_c 11.6126
_cell_angle_alpha 90.00
_cell_angle_beta 90.00
_cell_angle_gamma 90.00
loop_
_atom_site_label
_atom_site_fract_x
_atom_site_fract_y
_atom_site_fract_z
Ga1 0.0000 0.0000 0.1074
Hg1 0.0000 0.0000 0.5000
Pb1 0.0000 0.5000 0.2500
```

Largest 12 diffraction maxima, low angle first, 10° ≤ 2θ ≤ 80°:
hkl 1 0 3, 29.30°, 3.048 Å, intensity 18; hkl 1 1 2, 29.83°, 2.995 Å, intensity 100; hkl 0 0 4, 30.80°, 2.903 Å, intensity 13; hkl 2 0 0, 36.33°, 2.473 Å, intensity 42; hkl 1 1 4, 40.38°, 2.234 Å, intensity 13; hkl 1 0 5, 43.03°, 2.102 Å, intensity 11; hkl 2 1 3, 47.34°, 1.920 Å, intensity 10; hkl 2 0 4, 48.35°, 1.882 Å, intensity 15; hkl 2 2 0, 52.33°, 1.748 Å, intensity 15; hkl 1 1 6, 54.16°, 1.693 Å, intensity 13; hkl 3 1 2, 61.40°, 1.510 Å, intensity 27; hkl 3 1 6, 78.66°, 1.216 Å, intensity 9

For ThHPt, a GGA-PBE-relaxed structure gives the calculated powder diffractogram in this record (Cu Kα (weighted mean of Kα1 and Kα2)).

Atomic structure:
```
data_ThHPt
_chemical_formula_sum 'Th2 H2 Pt2'
_symmetry_space_group_name_H-M 'P 1 21/m 1'
_symmetry_Int_Tables_number 11
_cell_length_a 3.8893
_cell_length_b 4.2417
_cell_length_c 6.4226
_cell_angle_alpha 90.00
_cell_angle_beta 105.91
_cell_angle_gamma 90.00
loop_
_symmetry_equiv_pos_as_xyz
'x,y,z'
'-x,-y,-z'
'-x,y+1/2,-z'
'x,-y+1/2,z'
loop_
_atom_site_label
_atom_site_fract_x
_atom_site_fract_y
_atom_site_fract_z
Th1 0.1514 0.2500 0.2886
H1 0.2506 0.7500 0.4904
Pt1 0.4114 0.2500 0.8511
```

Largest 12 diffraction maxima, low angle first, 10° ≤ 2θ ≤ 80°:
hkl 0 0 2, 28.91°, 3.088 Å, intensity 48; hkl 1 0 1, 31.17°, 2.870 Å, intensity 31; hkl 1 1 0, 31.90°, 2.805 Å, intensity 92; hkl 1 0 -2, 32.19°, 2.781 Å, intensity 100; hkl 0 1 2, 35.97°, 2.497 Å, intensity 70; hkl 1 1 1, 37.85°, 2.377 Å, intensity 56; hkl 1 1 -2, 38.67°, 2.328 Å, intensity 58; hkl 0 2 0, 42.63°, 2.121 Å, intensity 46; hkl 2 0 -1, 46.73°, 1.944 Å, intensity 35; hkl 1 0 3, 56.65°, 1.625 Å, intensity 26; hkl 2 2 -1, 65.09°, 1.433 Å, intensity 27; hkl 1 2 3, 73.41°, 1.290 Å, intensity 24